[1]
For AgBi2IrO6, DFT lattice parameters and positions (GGA-PBE) gives the computed X-ray powder pattern in this record (Cu Ka).
Peak positions follow from Bragg's law for the DFT cell and can differ from measured ones.

Principal peaks in the range 15 to 90 degrees two-theta, low angle first:
2θ 21.11, intensity 23; 2θ 29.33, intensity 80; 2θ 30.72, intensity 100; 2θ 34.31, intensity 18; 2θ 42.99, intensity 31; 2θ 47.43, intensity 27; 2θ 53.76, intensity 32; 2θ 54.61, intensity 27; 2θ 63.42, intensity 18; 2θ 63.97, intensity 13

Structural model:
```
10
Lattice="2.911 1.681 5.094 -2.911 1.681 5.094 0.000 -3.361 5.094" Properties=species:S:1:pos:R:3 pbc="T T T"
Ag 0.000 0.000 0.000
Bi 0.000 0.000 3.698
Bi 0.000 0.000 11.674
Ir 0.000 0.000 6.831
O -1.552 -0.083 5.561
O -0.966 -1.428 7.868
O 0.848 -1.302 5.561
O -0.753 1.551 7.868
O 0.704 1.385 5.561
O 1.720 -0.123 7.868
```

---

[2]
For KAg3Bi3, DFT lattice parameters and positions (GGA-PBE) gives the computed X-ray powder pattern in this record (Cu Ka).
Peak positions follow from Bragg's law for the DFT cell and can differ from measured ones.

Principal peaks in the range 15 to 90 degrees two-theta, low angle first:
2θ 17.76, intensity 49; 2θ 25.34, intensity 44; 2θ 26.89, intensity 75; 2θ 27.97, intensity 51; 2θ 29.96, intensity 84; 2θ 31.73, intensity 40; 2θ 37.20, intensity 100; 2θ 38.10, intensity 56; 2θ 39.27, intensity 82; 2θ 42.32, intensity 46

Structural model:
```
14
Lattice="3.514 2.029 9.990 -3.514 2.029 9.990 0.000 -4.058 9.990" Properties=species:S:1:pos:R:3 pbc="T T T"
K 0.000 0.000 5.696
K 0.000 0.000 24.273
Ag -1.657 0.223 9.340
Ag 0.635 -1.546 9.340
Ag -1.022 -1.323 20.629
Ag 1.022 1.323 9.340
Ag -0.635 1.546 20.629
Ag 1.657 -0.223 20.629
Bi -2.100 0.657 12.374
Bi -1.619 -1.490 17.596
Bi 0.481 -2.148 12.374
Bi -0.481 2.148 17.596
Bi 1.619 1.490 12.374
Bi 2.100 -0.657 17.596
```

---

[3]
For K3AgBi, DFT lattice parameters and positions (GGA-PBE) gives the computed X-ray powder pattern in this record (Cu Ka).
Peak positions follow from Bragg's law for the DFT cell and can differ from measured ones.

Principal peaks in the range 15 to 90 degrees two-theta, low angle first:
2θ 15.45, intensity 55; 2θ 17.33, intensity 100; 2θ 23.10, intensity 28; 2θ 28.07, intensity 52; 2θ 29.11, intensity 29; 2θ 31.29, intensity 44; 2θ 32.05, intensity 48; 2θ 34.43, intensity 30; 2θ 34.85, intensity 32; 2θ 35.36, intensity 52

Structural model:
```
10
Lattice="2.859 -5.737 0.000 2.859 5.737 0.000 0.000 0.000 11.695" Properties=species:S:1:pos:R:3 pbc="T T T"
K 2.859 4.584 8.771
K 2.859 3.629 0.926
K 2.859 3.629 4.921
K 2.859 -3.629 6.773
K 2.859 -3.629 10.769
K 2.859 -4.584 2.924
Ag 2.859 0.970 8.771
Ag 2.859 -0.970 2.924
Bi 2.859 0.000 0.000
Bi 2.859 0.000 5.847
```

---

[4]
For Li7Ag3Bi, DFT lattice parameters and positions (GGA-PBE) gives the computed X-ray powder pattern in this record (Cu Ka).
Peak positions follow from Bragg's law for the DFT cell and can differ from measured ones.

Principal peaks in the range 15 to 90 degrees two-theta, low angle first:
2θ 20.87, intensity 100; 2θ 27.07, intensity 99; 2θ 27.37, intensity 96; 2θ 35.24, intensity 32; 2θ 36.31, intensity 25; 2θ 40.39, intensity 40; 2θ 41.02, intensity 38; 2θ 42.25, intensity 28; 2θ 51.49, intensity 18; 2θ 59.87, intensity 19

Structural model:
```
11
Lattice="4.914 -4.948 0.000 4.914 4.948 0.000 -2.545 0.000 4.414" Properties=species:S:1:pos:R:3 pbc="T T T"
Li 0.000 0.000 0.000
Li 2.426 2.274 1.469
Li 1.125 0.000 3.705
Li 4.856 2.274 2.945
Li 2.426 -2.274 1.469
Li 6.157 0.000 0.709
Li 4.856 -2.274 2.945
Ag 4.914 2.239 0.000
Ag 3.641 0.000 2.207
Ag 4.914 -2.239 0.000
Bi -1.273 0.000 2.207
```

---

[5]
For Li6AgBi2, DFT lattice parameters and positions (GGA-PBE) gives the computed X-ray powder pattern in this record (Cu Ka).
Peak positions follow from Bragg's law for the DFT cell and can differ from measured ones.

Principal peaks in the range 15 to 90 degrees two-theta, low angle first:
2θ 21.43, intensity 100; 2θ 23.54, intensity 38; 2θ 28.18, intensity 56; 2θ 31.20, intensity 18; 2θ 31.52, intensity 18; 2θ 36.23, intensity 17; 2θ 39.45, intensity 24; 2θ 39.71, intensity 24; 2θ 40.14, intensity 23; 2θ 44.35, intensity 16

Structural model:
```
9
Lattice="7.621 -3.779 0.000 7.621 3.779 0.000 -0.763 0.000 3.404" Properties=species:S:1:pos:R:3 pbc="T T T"
Li 4.800 1.449 1.128
Li 7.621 2.237 0.000
Li 9.681 1.449 2.275
Li 4.800 -1.449 1.128
Li 7.621 -2.237 0.000
Li 9.681 -1.449 2.275
Ag 7.240 0.000 1.702
Bi 2.365 0.000 0.561
Bi 12.115 0.000 2.842
```

---

[6]
For Li6Ag12Bi, DFT lattice parameters and positions (GGA-PBE) gives the computed X-ray powder pattern in this record (Cu Ka).
Peak positions follow from Bragg's law for the DFT cell and can differ from measured ones.

Principal peaks in the range 15 to 90 degrees two-theta, low angle first:
2θ 18.12, intensity 26; 2θ 22.17, intensity 29; 2θ 25.50, intensity 51; 2θ 28.78, intensity 100; 2θ 38.03, intensity 71; 2θ 38.66, intensity 62; 2θ 38.98, intensity 63; 2θ 40.62, intensity 76; 2θ 41.07, intensity 50; 2θ 43.01, intensity 23

Structural model:
```
19
Lattice="4.897 2.827 4.107 -4.897 2.827 4.107 0.000 -5.654 4.107" Properties=species:S:1:pos:R:3 pbc="T T T"
Li -2.707 -0.701 6.589
Li -0.746 -2.695 5.731
Li -1.960 1.994 5.731
Li 1.960 -1.994 6.589
Li 0.746 2.695 6.589
Li 2.707 0.701 5.731
Ag -4.461 0.999 5.172
Ag -3.095 -3.364 7.148
Ag -1.746 -0.212 3.788
Ag 1.366 -4.362 5.172
Ag 1.056 -1.406 3.788
Ag 0.690 1.618 3.788
Ag -0.690 -1.618 8.532
Ag -1.056 1.406 8.532
Ag -1.366 4.362 7.148
Ag 1.746 0.212 8.532
Ag 3.095 3.364 5.172
Ag 4.461 -0.999 7.148
Bi 0.000 0.000 6.160
```

---

[7]
For Li3Ag7Bi, DFT lattice parameters and positions (GGA-PBE) gives the computed X-ray powder pattern in this record (Cu Ka).
Peak positions follow from Bragg's law for the DFT cell and can differ from measured ones.

Principal peaks in the range 15 to 90 degrees two-theta, low angle first:
2θ 22.82, intensity 48; 2θ 28.91, intensity 66; 2θ 32.03, intensity 38; 2θ 33.96, intensity 54; 2θ 35.22, intensity 65; 2θ 36.37, intensity 76; 2θ 38.04, intensity 69; 2θ 39.54, intensity 100; 2θ 40.09, intensity 31; 2θ 46.53, intensity 36

Structural model:
```
11
Lattice="4.250 -4.941 0.000 4.250 4.941 0.000 -2.016 0.000 5.138" Properties=species:S:1:pos:R:3 pbc="T T T"
Li 0.000 0.000 0.000
Li 3.242 2.657 2.569
Li 3.242 -2.657 2.569
Ag 1.106 2.676 4.122
Ag 0.404 0.000 2.740
Ag 5.378 2.676 1.016
Ag 3.242 0.000 2.569
Ag 1.106 -2.676 4.122
Ag 6.079 0.000 2.398
Ag 5.378 -2.676 1.016
Bi 4.250 0.000 0.000
```

---

[8]
For Li3AgBi2, DFT lattice parameters and positions (GGA-PBE) gives the computed X-ray powder pattern in this record (Cu Ka).
Peak positions follow from Bragg's law for the DFT cell and can differ from measured ones.

Principal peaks in the range 15 to 90 degrees two-theta, low angle first:
2θ 22.80, intensity 100; 2θ 26.02, intensity 73; 2θ 27.76, intensity 52; 2θ 34.86, intensity 78; 2θ 35.67, intensity 29; 2θ 36.76, intensity 30; 2θ 38.41, intensity 51; 2θ 44.68, intensity 27; 2θ 45.59, intensity 30; 2θ 46.56, intensity 20

Structural model:
```
6
Lattice="4.982 0.000 0.000 0.000 3.425 0.000 -1.018 0.000 7.551" Properties=species:S:1:pos:R:3 pbc="T T T"
Li 0.000 0.000 0.000
Li 0.903 0.000 5.003
Li 3.062 0.000 2.548
Ag 2.491 1.712 0.000
Bi 0.597 1.712 2.293
Bi 3.367 1.712 5.258
```